Computed powder diffraction line list of PmPrSmHo for Cu Ka, from a structure optimized by DFT (GGA-PBE).

Principal peaks in the range 2θ from 15° to 90°, most intense first:
d = 2.965 Å, rel. 100
d = 2.568 Å, rel. 51
d = 1.548 Å, rel. 43
d = 1.816 Å, rel. 36
d = 1.178 Å, rel. 18
d = 1.483 Å, rel. 12
d = 1.149 Å, rel. 11
d = 1.148 Å, rel. 5
d = 1.284 Å, rel. 4
d = 1.283 Å, rel. 2

Atomic structure:
```
data_PmPrSmHo
_symmetry_space_group_name_H-M 'P 1'
_symmetry_Int_Tables_number 1
_cell_length_a 6.2872
_cell_length_b 6.2872
_cell_length_c 6.2872
_cell_angle_alpha 131.77
_cell_angle_beta 131.77
_cell_angle_gamma 70.60
loop_
_symmetry_equiv_pos_as_xyz
'x,y,z'
loop_
_atom_site_label
_atom_site_type_symbol
_atom_site_fract_x
_atom_site_fract_y
_atom_site_fract_z
Pm1 Pm 0.0000 0.0000 0.0000
Pr1 Pr 0.7500 0.2500 0.5000
Sm1 Sm 0.5000 0.5000 0.0000
Ho1 Ho 0.2500 0.7500 0.5000
```